Theoretical X-ray powder pattern of Ti4Zn3Ir2 for a wavelength of 1.5418 Å, from DFT lattice parameters and positions (PBE).

Crystal structure
```
9
Lattice="4.333 0.000 0.000 2.148 3.766 0.000 0.207 0.132 8.697" Properties=species:S:1:pos:R:3 pbc="T T T"
Ti 0.100 0.064 2.857
Ti 2.361 1.383 7.676
Ti 4.327 2.515 1.022
Ti 6.588 3.834 5.841
Zn 0.000 0.000 0.000
Zn 2.264 1.321 4.321
Zn 4.424 2.577 4.377
Ir 2.151 1.249 1.588
Ir 4.537 2.649 7.110
```

Peak list (10 most intense, 5° ≤ 2θ ≤ 70°, low angle first)
- 2θ 10.17, I = 29.1
- 2θ 25.64, I = 53.3
- 2θ 25.92, I = 34.9
- 2θ 26.16, I = 17.1
- 2θ 30.84, I = 29.3
- 2θ 31.65, I = 16.8
- 2θ 38.94, I = 69.7
- 2θ 39.85, I = 36.4
- 2θ 41.47, I = 51.4
- 2θ 41.69, I = 100.0

---

Theoretical X-ray powder pattern of Ba7BiSe5 for a wavelength of 1.5418 Å, from DFT lattice parameters and positions (PBE).

Crystal structure
```
26
Lattice="2.398 -7.770 0.000 2.398 7.770 0.000 0.000 0.000 28.023" Properties=species:S:1:pos:R:3 pbc="T T T"
Ba 2.398 7.179 21.018
Ba 2.398 5.655 0.982
Ba 2.398 5.655 13.030
Ba 2.398 2.799 18.931
Ba 2.398 2.799 23.104
Ba 2.398 1.402 3.004
Ba 2.398 1.402 11.007
Ba 2.398 -1.402 17.016
Ba 2.398 -1.402 25.019
Ba 2.398 -2.799 4.919
Ba 2.398 -2.799 9.092
Ba 2.398 -5.655 14.994
Ba 2.398 -5.655 27.041
Ba 2.398 -7.179 7.006
Bi 2.398 3.186 7.006
Bi 2.398 -3.186 21.018
Se 2.398 7.100 3.974
Se 2.398 7.100 10.037
Se 2.398 4.240 16.040
Se 2.398 4.240 25.995
Se 2.398 0.000 0.000
Se 2.398 0.000 14.012
Se 2.398 -4.240 2.028
Se 2.398 -4.240 11.984
Se 2.398 -7.100 17.986
Se 2.398 -7.100 24.049
```

Peak list (10 most intense, 5° ≤ 2θ ≤ 70°, low angle first)
- 2θ 25.04, I = 96.0
- 2θ 26.11, I = 100.0
- 2θ 27.08, I = 88.5
- 2θ 34.83, I = 32.4
- 2θ 36.77, I = 20.5
- 2θ 37.50, I = 40.7
- 2θ 37.62, I = 24.3
- 2θ 38.05, I = 30.1
- 2θ 38.28, I = 26.8
- 2θ 45.62, I = 30.1

---

Theoretical X-ray powder pattern of PmGa5Pd2Au for a wavelength of 1.5418 Å, from DFT lattice parameters and positions (PBE).

Crystal structure
```
9
Lattice="4.291 0.000 0.000 0.000 4.291 0.000 0.000 0.000 10.514" Properties=species:S:1:pos:R:3 pbc="T T T"
Pm 0.000 0.000 0.000
Ga 0.000 2.145 3.629
Ga 0.000 2.145 6.885
Ga 2.145 0.000 3.629
Ga 2.145 0.000 6.885
Ga 2.145 2.145 0.000
Pd 2.145 2.145 2.353
Pd 2.145 2.145 8.161
Au 0.000 0.000 5.257
```

Peak list (10 most intense, 5° ≤ 2θ ≤ 70°, low angle first)
- 2θ 22.38, I = 17.2
- 2θ 26.82, I = 100.0
- 2θ 29.44, I = 20.2
- 2θ 30.67, I = 15.8
- 2θ 34.12, I = 32.6
- 2θ 39.27, I = 21.7
- 2θ 42.12, I = 56.7
- 2θ 45.67, I = 68.7
- 2θ 50.64, I = 35.1
- 2θ 61.08, I = 18.7

---

Theoretical X-ray powder pattern of DyTh2Co6 for a wavelength of 1.5418 Å, from DFT lattice parameters and positions (PBE).

Crystal structure
```
9
Lattice="6.812 0.000 0.000 -3.406 5.899 0.000 0.000 0.000 3.976" Properties=species:S:1:pos:R:3 pbc="T T T"
Dy 0.000 0.000 0.000
Th 0.000 3.933 0.000
Th 3.406 1.966 0.000
Co -1.134 1.965 1.988
Co -2.271 3.934 1.988
Co 2.269 0.000 1.988
Co 1.134 1.965 1.988
Co 4.543 0.000 1.988
Co 2.271 3.934 1.988
```

Peak list (10 most intense, 5° ≤ 2θ ≤ 70°, low angle first)
- 2θ 22.36, I = 3.9
- 2θ 26.17, I = 28.1
- 2θ 34.68, I = 100.0
- 2θ 45.63, I = 11.7
- 2θ 46.17, I = 34.0
- 2θ 51.87, I = 3.2
- 2θ 53.36, I = 8.8
- 2θ 53.84, I = 4.3
- 2θ 59.01, I = 21.6
- 2θ 66.93, I = 21.9

---

Theoretical X-ray powder pattern of La2Pr6Ho3Tl for a wavelength of 1.5418 Å, from DFT lattice parameters and positions (PBE).

Crystal structure
```
12
Lattice="3.130 -5.429 0.000 3.130 5.429 0.000 -2.093 0.000 11.872" Properties=species:S:1:pos:R:3 pbc="T T T"
La 3.130 3.622 0.000
La 3.130 -3.622 0.000
Pr 0.020 1.766 8.864
Pr 1.093 0.000 3.014
Pr 0.020 -1.766 8.864
Pr 4.147 1.766 3.008
Pr 3.074 0.000 8.858
Pr 4.147 -1.766 3.008
Ho -1.047 0.000 5.936
Ho 2.084 1.815 5.936
Ho 2.084 -1.815 5.936
Tl 3.130 0.000 0.000
```

Peak list (10 most intense, 5° ≤ 2θ ≤ 70°, low angle first)
- 2θ 30.11, I = 33.8
- 2θ 30.25, I = 100.0
- 2θ 35.03, I = 67.7
- 2θ 50.28, I = 24.2
- 2θ 50.46, I = 24.0
- 2θ 59.73, I = 14.4
- 2θ 59.90, I = 38.1
- 2θ 60.02, I = 4.8
- 2θ 62.60, I = 4.2
- 2θ 62.90, I = 12.3